[1]
Calculated XRD peak list
Compound: Al4V4Ga
Radiation: Cu Kα, 1.54184 Å
Structure: a DFT-relaxed cell (PBE, Alexandria)

Principal peaks in the range 2θ from 5° to 70°, in order of rising 2θ:
2theta, I_rel
20.98, 7
26.82, 11
33.46, 6
40.55, 100
42.71, 2
45.44, 35
46.09, 4
50.50, 13
60.35, 3
66.22, 11

Crystal structure
a = 6.2547 Å, b = 6.2547 Å, c = 6.2547 Å
α = 94.79°, β = 94.79°, γ = 146.41°
Atoms (fractional coordinates):
Al 0.1706 0.1706 0.3413
Al 0.1706 0.8294 0.0000
Al 0.8294 0.1706 0.0000
Al 0.8294 0.8294 0.6587
V 0.1689 0.5000 0.6689
V 0.5000 0.1689 0.6689
V 0.5000 0.8311 0.3311
V 0.8311 0.5000 0.3311
Ga 0.5000 0.5000 0.0000

[2]
Calculated XRD peak list
Compound: Ce2CoTcGe6
Radiation: Cu Kα, 1.54184 Å
Structure: a DFT-relaxed cell (PBE, Alexandria)

Principal peaks in the range 2θ from 5° to 70°, in order of rising 2θ:
2theta, I_rel
29.18, 61
29.97, 47
30.14, 59
36.14, 100
38.25, 86
42.44, 53
45.56, 19
55.78, 32
60.50, 40
69.02, 27

Crystal structure
a = 12.4371 Å, b = 12.4371 Å, c = 12.4371 Å
α = 28.49°, β = 28.49°, γ = 28.49°
Atoms (fractional coordinates):
Ce 0.1125 0.1125 0.1125
Ce 0.2951 0.2951 0.2951
Ce 0.7049 0.7049 0.7049
Ce 0.8875 0.8875 0.8875
Co 0.4255 0.4255 0.4255
Co 0.5745 0.5745 0.5745
Tc 0.0000 0.0000 0.0000
Tc 0.5000 0.5000 0.5000
Ge 0.0715 0.6530 0.6530
Ge 0.2324 0.2324 0.6561
Ge 0.2324 0.6561 0.2324
Ge 0.3439 0.7676 0.7676
Ge 0.3470 0.3470 0.9285
Ge 0.3470 0.9285 0.3470
Ge 0.6530 0.0715 0.6530
Ge 0.6530 0.6530 0.0715
Ge 0.6561 0.2324 0.2324
Ge 0.7676 0.3439 0.7676
Ge 0.7676 0.7676 0.3439
Ge 0.9285 0.3470 0.3470

[3]
Calculated XRD peak list
Compound: Li4In3Au4
Radiation: Cu Kα, 1.54184 Å
Structure: a DFT-relaxed cell (PBE, Alexandria)

Principal peaks in the range 2θ from 5° to 70°, in order of rising 2θ:
2theta, I_rel
5.30, 27
15.96, 31
21.33, 27
27.86, 48
30.18, 21
36.79, 100
38.62, 71
40.25, 38
40.73, 31
49.95, 22

Crystal structure
a = 3.2872 Å, b = 3.6517 Å, c = 16.8218 Å
α = 83.86°, β = 85.02°, γ = 89.97°
Atoms (fractional coordinates):
Li 0.0909 0.0907 0.3223
Li 0.2761 0.2725 0.9558
Li 0.7239 0.7275 0.0442
Li 0.9091 0.9093 0.6777
In 0.0000 0.0000 0.5000
In 0.3630 0.3607 0.7789
In 0.6370 0.6393 0.2211
Au 0.1833 0.1880 0.1241
Au 0.4408 0.4435 0.6050
Au 0.5592 0.5565 0.3950
Au 0.8167 0.8120 0.8759